Starting from a structure optimized by DFT (PBE), the powder X-ray diffraction pattern of CaPr2Cu6 was simulated for Cu Kα X-rays.

Peak list (10 most intense, 2θ = 10–90°, by angle)
two_theta, I (rel.), hkl
13.81, 13.6, 1 0 0
27.09, 6.1, 1 0 1
33.65, 100.0, 1 1 1
42.29, 50.6, 3 0 0
47.39, 12.0, 0 0 2
55.10, 23.5, 2 2 1
65.37, 26.0, 3 0 2
71.82, 20.5, 4 1 1
77.34, 7.8, 3 3 0
79.26, 7.7, 1 1 3

Cell and atoms:
```
data_CaPr2Cu6
_chemical_formula_sum 'Ca1 Pr2 Cu6'
_symmetry_space_group_name_H-M 'P 6/m m m'
_symmetry_Int_Tables_number 191
_symmetry_space_group_name_Hall '-P 6 2'
_cell_length_a 7.4029
_cell_length_b 7.4029
_cell_length_c 3.8364
_cell_angle_alpha 90.00
_cell_angle_beta 90.00
_cell_angle_gamma 120.00
loop_
_atom_site_label
_atom_site_type_symbol
_atom_site_fract_x
_atom_site_fract_y
_atom_site_fract_z
Ca1 Ca 0.0000 0.0000 0.0000
Pr1 Pr 0.3333 0.6667 0.0000
Cu1 Cu 0.0000 0.3326 0.5000
```

=====

Starting from a structure optimized by DFT (PBE), the powder X-ray diffraction pattern of AcLaCuAg was simulated for Cu Kα X-rays.

Peak list (10 most intense, 2θ = 10–90°, by angle)
two_theta, I (rel.), hkl
24.23, 27.9, 1 0 2
29.40, 100.0, 1 1 1
31.23, 22.6, 0 0 4
31.72, 45.8, 0 1 3
36.56, 25.5, 1 0 4
36.99, 51.9, 1 1 3
37.57, 30.1, 2 0 0
43.23, 20.3, 0 2 0
49.97, 25.9, 2 1 3
58.59, 16.3, 2 2 0

Cell and atoms:
```
data_AcLaCuAg
_chemical_formula_sum 'Ac2 La2 Cu2 Ag2'
_symmetry_space_group_name_H-M 'A m m 2'
_symmetry_Int_Tables_number 38
_symmetry_space_group_name_Hall 'A 2 -2'
_cell_length_a 4.7877
_cell_length_b 4.1853
_cell_length_c 11.4571
_cell_angle_alpha 90.00
_cell_angle_beta 90.00
_cell_angle_gamma 90.00
loop_
_atom_site_label
_atom_site_type_symbol
_atom_site_fract_x
_atom_site_fract_y
_atom_site_fract_z
Ac1 Ac 0.0000 0.0000 0.0000
La1 La 0.5000 0.0000 0.2832
Cu1 Cu 0.5000 0.0000 0.5764
Ag1 Ag 0.0000 0.0000 0.7134
```

=====

Starting from a structure optimized by DFT (PBE), the powder X-ray diffraction pattern of La3Cd3In8 was simulated for Cu Kα X-rays.

Peak list (10 most intense, 2θ = 10–90°, by angle)
two_theta, I (rel.), hkl
30.18, 46.3, 1 3 0
30.53, 15.7, 0 3 3
31.19, 100.0, 1 2 3
32.86, 57.4, 1 3 2
37.50, 30.1, 1 4 1
37.74, 43.4, 2 0 0
38.82, 22.7, 0 0 6
39.99, 25.0, 1 3 4
55.25, 17.2, 2 0 6
60.08, 23.1, 1 4 7

Cell and atoms:
```
data_La3Cd3In8
_chemical_formula_sum 'La6 Cd6 In16'
_symmetry_space_group_name_H-M 'I m m m'
_symmetry_Int_Tables_number 71
_symmetry_space_group_name_Hall '-I 2 2'
_cell_length_a 4.7676
_cell_length_b 11.3257
_cell_length_c 13.9180
_cell_angle_alpha 90.00
_cell_angle_beta 90.00
_cell_angle_gamma 90.00
loop_
_atom_site_label
_atom_site_type_symbol
_atom_site_fract_x
_atom_site_fract_y
_atom_site_fract_z
La1 La 0.0000 0.0000 0.0000
La2 La 0.0000 0.0000 0.3034
Cd1 Cd 0.0000 0.1789 0.5000
Cd2 Cd 0.0000 0.5000 0.0000
In1 In 0.0000 0.2862 0.1450
In2 In 0.0000 0.3709 0.3522
```

=====

Starting from a structure optimized by DFT (PBE), the powder X-ray diffraction pattern of Cu2Pd2Au3 was simulated for Cu Kα X-rays.

Peak list (10 most intense, 2θ = 10–90°, by angle)
two_theta, I (rel.), hkl
17.90, 44.8, 0 2 0
34.58, 54.9, 1 0 -2
35.61, 81.6, 1 1 1
36.25, 56.5, 0 4 0
37.16, 100.0, 2 1 -1
39.20, 87.1, 1 2 -2
40.52, 40.3, 0 1 2
41.91, 80.0, 1 4 -1
42.16, 39.0, 2 1 0
44.26, 95.5, 1 3 1

Cell and atoms:
```
data_Cu2Pd2Au3
_chemical_formula_sum 'Cu4 Pd4 Au6'
_symmetry_space_group_name_H-M 'P 1 21/c 1'
_symmetry_Int_Tables_number 14
_symmetry_space_group_name_Hall '-P 2ybc'
_cell_length_a 4.9905
_cell_length_b 9.9118
_cell_length_c 5.1942
_cell_angle_alpha 90.00
_cell_angle_beta 118.39
_cell_angle_gamma 90.00
loop_
_atom_site_label
_atom_site_type_symbol
_atom_site_fract_x
_atom_site_fract_y
_atom_site_fract_z
Cu1 Cu 0.1182 0.1993 0.3990
Pd1 Pd 0.3728 0.7167 0.5983
Au1 Au 0.1551 0.0399 0.8404
Au2 Au 0.5000 0.0000 0.5000
```

=====

Starting from a structure optimized by DFT (PBE), the powder X-ray diffraction pattern of Rb2CdPb3 was simulated for Cu Kα X-rays.

Peak list (10 most intense, 2θ = 10–90°, by angle)
two_theta, I (rel.), hkl
13.88, 54.9, 2 0 -1
19.06, 34.0, 1 1 -1
27.21, 71.7, 3 1 -1
27.68, 100.0, 1 1 -2
30.77, 81.2, 2 0 1
32.69, 60.5, 0 2 0
34.57, 71.2, 3 1 -3
39.30, 49.8, 5 1 -2
45.51, 60.3, 2 2 1
53.75, 35.3, 1 1 -4

Cell and atoms:
```
data_Rb2CdPb3
_chemical_formula_sum 'Rb4 Cd2 Pb6'
_symmetry_space_group_name_H-M 'C 1 m 1'
_symmetry_Int_Tables_number 8
_symmetry_space_group_name_Hall 'C -2y'
_cell_length_a 12.7671
_cell_length_b 5.4780
_cell_length_c 8.8364
_cell_angle_alpha 90.00
_cell_angle_beta 133.71
_cell_angle_gamma 90.00
loop_
_atom_site_label
_atom_site_type_symbol
_atom_site_fract_x
_atom_site_fract_y
_atom_site_fract_z
Rb1 Rb 0.0000 0.0000 0.0000
Rb2 Rb 0.0053 0.5000 0.3588
Cd1 Cd 0.1729 0.0000 0.7685
Pb1 Pb 0.1671 0.5000 0.9282
Pb2 Pb 0.3209 0.0000 0.5962
Pb3 Pb 0.3383 0.5000 0.4163
```

=====

Starting from a structure optimized by DFT (PBE), the powder X-ray diffraction pattern of Np6N5O was simulated for Cu Kα X-rays.

Peak list (7 most intense, 2θ = 10–90°, by angle)
two_theta, I (rel.), hkl
31.87, 100.0, 2 0 0
36.96, 65.1, 1 3 1
53.27, 46.0, 2 0 2
63.43, 45.6, 3 3 1
66.61, 15.7, 4 0 0
78.69, 7.4, 2 6 2
87.40, 20.2, 4 0 2

Cell and atoms:
```
data_Np6N5O
_chemical_formula_sum 'Np12 N10 O2'
_symmetry_space_group_name_H-M 'C 1 2/m 1'
_symmetry_Int_Tables_number 12
_symmetry_space_group_name_Hall '-C 2y'
_cell_length_a 5.9556
_cell_length_b 10.3210
_cell_length_c 5.9557
_cell_angle_alpha 90.00
_cell_angle_beta 109.45
_cell_angle_gamma 90.00
loop_
_atom_site_label
_atom_site_type_symbol
_atom_site_fract_x
_atom_site_fract_y
_atom_site_fract_z
Np1 Np 0.2494 0.0000 0.2516
Np2 Np 0.2494 0.1672 0.7497
N1 N 0.0000 0.0000 0.5000
N2 N 0.0000 0.1664 0.0000
N3 N 0.0000 0.3319 0.5000
O1 O 0.0000 0.5000 0.0000
```

=====

Starting from a structure optimized by DFT (PBE), the powder X-ray diffraction pattern of Cd2SiW was simulated for Cu Kα X-rays.

Peak list (10 most intense, 2θ = 10–90°, by angle)
two_theta, I (rel.), hkl
21.56, 28.1, 0 1 0
25.42, 61.8, 0 1 1
26.80, 23.1, 0 0 2
34.65, 92.8, 0 1 2
38.04, 79.8, 1 0 1
39.53, 100.0, 1 1 -1
40.68, 31.5, 0 0 3
43.94, 37.4, 0 2 0
44.15, 30.2, 1 1 1
59.50, 42.3, 1 2 1

Cell and atoms:
```
data_Cd2SiW
_chemical_formula_sum 'Cd2 Si1 W1'
_symmetry_space_group_name_H-M 'P 1 m 1'
_symmetry_Int_Tables_number 6
_symmetry_space_group_name_Hall 'P -2y'
_cell_length_a 2.7960
_cell_length_b 4.1208
_cell_length_c 6.7965
_cell_angle_alpha 90.00
_cell_angle_beta 101.76
_cell_angle_gamma 90.00
loop_
_atom_site_label
_atom_site_type_symbol
_atom_site_fract_x
_atom_site_fract_y
_atom_site_fract_z
Cd1 Cd 0.0000 0.0000 0.0000
Cd2 Cd 0.3677 0.5000 0.7333
Si1 Si 0.1638 0.5000 0.3297
W1 W 0.6996 0.0000 0.4035
```

=====

Starting from a structure optimized by DFT (PBE), the powder X-ray diffraction pattern of Tb2In8Ni was simulated for Cu Kα X-rays.

Peak list (10 most intense, 2θ = 10–90°, by angle)
two_theta, I (rel.), hkl
31.00, 43.0, 1 1 2
35.23, 100.0, 1 1 3
37.04, 21.0, 0 0 5
38.84, 55.5, 2 0 0
54.75, 26.6, 2 0 5
56.09, 18.5, 2 2 0
65.48, 9.8, 3 1 2
68.00, 28.2, 3 1 3
68.11, 15.9, 1 1 8
69.14, 13.0, 2 2 5

Cell and atoms:
```
data_Tb2In8Ni
_chemical_formula_sum 'Tb2 In8 Ni1'
_symmetry_space_group_name_H-M 'P 4/m m m'
_symmetry_Int_Tables_number 123
_symmetry_space_group_name_Hall '-P 4 2'
_cell_length_a 4.6376
_cell_length_b 4.6376
_cell_length_c 12.1338
_cell_angle_alpha 90.00
_cell_angle_beta 90.00
_cell_angle_gamma 90.00
loop_
_atom_site_label
_atom_site_type_symbol
_atom_site_fract_x
_atom_site_fract_y
_atom_site_fract_z
Tb1 Tb 0.0000 0.0000 0.1924
In1 In 0.0000 0.5000 0.0000
In2 In 0.0000 0.5000 0.3788
In3 In 0.5000 0.5000 0.1926
Ni1 Ni 0.0000 0.0000 0.5000
```

=====

Starting from a structure optimized by DFT (PBE), the powder X-ray diffraction pattern of Dy3Y8Pu2 was simulated for Cu Kα X-rays.

Peak list (10 most intense, 2θ = 10–90°, by angle)
two_theta, I (rel.), hkl
17.92, 18.7, 0 2 1
25.50, 32.2, 2 2 0
29.69, 22.7, 1 5 1
30.91, 33.2, 0 6 1
31.50, 40.2, 0 0 2
33.83, 100.0, 2 4 1
35.60, 14.1, 0 8 0
40.96, 18.5, 2 2 2
48.93, 15.5, 4 0 0
57.59, 21.7, 2 4 3

Cell and atoms:
```
data_Dy3Y8Pu2
_chemical_formula_sum 'Dy6 Y16 Pu4'
_symmetry_space_group_name_H-M 'C m m m'
_symmetry_Int_Tables_number 65
_symmetry_space_group_name_Hall '-C 2 2'
_cell_length_a 7.4483
_cell_length_b 20.1743
_cell_length_c 5.6795
_cell_angle_alpha 90.00
_cell_angle_beta 90.00
_cell_angle_gamma 90.00
loop_
_atom_site_label
_atom_site_type_symbol
_atom_site_fract_x
_atom_site_fract_y
_atom_site_fract_z
Dy1 Dy 0.0000 0.0000 0.0000
Dy2 Dy 0.2247 0.5000 0.5000
Y1 Y 0.0000 0.1405 0.5000
Y2 Y 0.0000 0.3227 0.5000
Y3 Y 0.2180 0.3883 0.0000
Pu1 Pu 0.0000 0.2423 0.0000
```

=====

Starting from a structure optimized by DFT (PBE), the powder X-ray diffraction pattern of SmMg5Cd7 was simulated for Cu Kα X-rays.

Peak list (10 most intense, 2θ = 10–90°, by angle)
two_theta, I (rel.), hkl
18.08, 28.1, 0 0 2
29.59, 75.5, 2 0 0
30.81, 65.8, 1 3 0
31.10, 39.0, 1 0 3
34.90, 32.1, 2 0 2
35.96, 74.6, 1 3 2
36.12, 100.0, 1 2 3
36.64, 22.4, 0 0 4
39.47, 35.5, 2 2 2
65.52, 21.6, 1 3 6

Cell and atoms:
```
data_SmMg5Cd7
_chemical_formula_sum 'Sm2 Mg10 Cd14'
_symmetry_space_group_name_H-M 'I m m 2'
_symmetry_Int_Tables_number 44
_symmetry_space_group_name_Hall 'I 2 -2'
_cell_length_a 6.0380
_cell_length_b 9.9273
_cell_length_c 9.8115
_cell_angle_alpha 90.00
_cell_angle_beta 90.00
_cell_angle_gamma 90.00
loop_
_atom_site_label
_atom_site_type_symbol
_atom_site_fract_x
_atom_site_fract_y
_atom_site_fract_z
Sm1 Sm 0.0000 0.0000 0.0000
Mg1 Mg 0.0000 0.5000 0.2812
Mg2 Mg 0.2483 0.2534 0.7488
Cd1 Cd 0.0000 0.0000 0.3494
Cd2 Cd 0.0000 0.0000 0.6582
Cd3 Cd 0.0000 0.2878 0.4957
Cd4 Cd 0.0000 0.3479 0.0017
Cd5 Cd 0.0000 0.5000 0.7122
```

=====

Starting from a structure optimized by DFT (PBE), the powder X-ray diffraction pattern of K2Te3As was simulated for Cu Kα X-rays.

Peak list (10 most intense, 2θ = 10–90°, by angle)
two_theta, I (rel.), hkl
16.19, 92.9, 1 1 2
19.80, 30.2, 1 1 3
22.02, 51.2, 2 0 0
24.29, 40.4, 2 0 2
25.48, 61.1, 0 4 1
25.86, 37.1, 2 2 1
28.46, 100.0, 0 2 5
30.14, 33.9, 2 0 4
43.35, 29.9, 0 6 4
52.35, 29.5, 0 0 10

Cell and atoms:
```
data_K2Te3As
_chemical_formula_sum 'K16 Te24 As8'
_symmetry_space_group_name_H-M 'C m c e'
_symmetry_Int_Tables_number 64
_symmetry_space_group_name_Hall '-C 2ac 2'
_cell_length_a 8.0743
_cell_length_b 14.2706
_cell_length_c 17.4713
_cell_angle_alpha 90.00
_cell_angle_beta 90.00
_cell_angle_gamma 90.00
loop_
_atom_site_label
_atom_site_type_symbol
_atom_site_fract_x
_atom_site_fract_y
_atom_site_fract_z
K1 K 0.0000 0.0641 0.1696
K2 K 0.0000 0.1520 0.5676
Te1 Te 0.0000 0.0908 0.3687
Te2 Te 0.0000 0.1244 0.9656
Te3 Te 0.2500 0.1781 0.7500
As1 As 0.0000 0.2317 0.8447
```

=====

Starting from a structure optimized by DFT (PBE), the powder X-ray diffraction pattern of KW2N was simulated for Cu Kα X-rays.

Peak list (10 most intense, 2θ = 10–90°, by angle)
two_theta, I (rel.), hkl
17.13, 100.0, 1 1 1
33.14, 92.4, 3 1 1
34.66, 89.5, 2 2 2
40.24, 32.8, 4 0 0
44.03, 28.0, 3 3 1
53.08, 32.8, 5 1 1
58.21, 39.3, 4 4 0
61.16, 21.4, 5 3 1
69.56, 36.3, 6 2 2
82.68, 20.9, 7 3 1

Cell and atoms:
a = 8.9652 Å, b = 8.9652 Å, c = 8.9652 Å
α = 90.00°, β = 90.00°, γ = 90.00°
Space group Fd-3m (No. 227, origin choice 2)
Inequivalent atoms, fractional coordinates:
K1 0.1250 0.1250 0.1250 [8 per cell]
W1 0.0000 0.0000 0.5000 [16 per cell]
N1 0.1250 0.1250 0.6250 [8 per cell]